Entry 1:
Diffraction record for Y3Ge6N11. The powder diffractogram is theoretical, not measured: it uses a DFT-relaxed cell (PBE, the Materials Project) and copper Kα.
Lines closer than 0.1° are merged.

Atomic structure:
```
data_Y3Ge6N11
_cell_length_a 10.3696
_cell_length_b 10.3696
_cell_length_c 5.1653
_cell_angle_alpha 90.00
_cell_angle_beta 90.00
_cell_angle_gamma 90.00
_space_group_name_H-M_alt 'P 4 b m'
_space_group_IT_number 100
_space_group_name_Hall 'P 4 -2ab'
loop_
_atom_site_label
_atom_site_type_symbol
_atom_site_fract_x
_atom_site_fract_y
_atom_site_fract_z
Y1 Y 0.0000 0.0000 0.0000
Y2 Y 0.1833 0.3167 0.0028
Ge1 Ge 0.0812 0.7941 0.5628
Ge2 Ge 0.1212 0.6212 0.0812
N1 N 0.0000 0.5000 0.1284
N2 N 0.0778 0.1834 0.7099
N3 N 0.0871 0.7885 0.2036
N4 N 0.1531 0.6531 0.7304
```

Top 10 peaks for 2θ from 10° to 90°, in order of falling intensity:
d [Å]	Position (°2θ)	Rel. int.
2.514	35.7	100.0
2.768	32.3	85.5
2.990	29.9	54.3
2.583	34.7	35.6
1.802	50.7	32.2
5.173	17.1	20.6
3.451	25.8	19.4
4.223	21.0	18.1
2.319	38.8	16.0
1.466	63.5	15.9

Entry 2:
Diffraction record for ZnGe7N10. The powder diffractogram is theoretical, not measured: it uses a DFT-relaxed cell (PBE, the Materials Project) and copper Kα.
Lines closer than 0.1° are merged.

Atomic structure:
```
data_ZnGe7N10
_cell_length_a 6.9947
_cell_length_b 7.3802
_cell_length_c 10.2892
_cell_angle_alpha 90.00
_cell_angle_beta 102.74
_cell_angle_gamma 90.00
_space_group_name_H-M_alt 'P 1 c 1'
_space_group_IT_number 7
_space_group_name_Hall 'P -2yc'
loop_
_atom_site_label
_atom_site_type_symbol
_atom_site_fract_x
_atom_site_fract_y
_atom_site_fract_z
Zn1 Zn 0.0000 0.0879 0.0000
Ge1 Ge 0.2192 0.3971 0.9376
Ge2 Ge 0.4063 0.3685 0.2464
Ge3 Ge 0.4520 0.0164 0.8950
Ge4 Ge 0.5915 0.3685 0.5518
Ge5 Ge 0.6605 0.0184 0.1930
Ge6 Ge 0.7634 0.3669 0.8560
Ge7 Ge 0.9529 0.3804 0.1738
N1 N 0.1810 0.4218 0.3042
N2 N 0.2361 0.1470 0.9143
N3 N 0.3971 0.4831 0.0868
N4 N 0.4392 0.1240 0.2406
N5 N 0.5541 0.1238 0.5454
N6 N 0.5986 0.4563 0.3847
N7 N 0.6895 0.1242 0.8523
N8 N 0.8084 0.4141 0.6884
N9 N 0.8707 0.1409 0.1586
N10 N 0.9840 0.3911 0.9936
```

Top 10 peaks for 2θ from 10° to 90°, in order of falling intensity:
d [Å]	Position (°2θ)	Rel. int.
4.804	18.5	100.0
2.404	37.4	69.8
5.946	14.9	63.1
2.427	37.0	62.4
2.528	35.5	56.8
3.141	28.4	53.4
3.047	29.3	49.6
2.908	30.7	49.2
6.822	13.0	46.4
2.461	36.5	37.9

Entry 3:
Diffraction record for Zn5Ge2N6. The powder diffractogram is theoretical, not measured: it uses a DFT-relaxed cell (PBE, the Materials Project) and copper Kα.
Lines closer than 0.1° are merged.

Atomic structure:
```
data_Zn5Ge2N6
_cell_length_a 8.9787
_cell_length_b 5.6918
_cell_length_c 13.9944
_cell_angle_alpha 90.00
_cell_angle_beta 91.72
_cell_angle_gamma 90.00
_space_group_name_H-M_alt 'C 1 2/c 1'
_space_group_IT_number 15
_space_group_name_Hall '-C 2yc'
loop_
_atom_site_label
_atom_site_type_symbol
_atom_site_fract_x
_atom_site_fract_y
_atom_site_fract_z
Zn1 Zn 0.0000 0.0488 0.2500
Zn2 Zn 0.1171 0.2335 0.5413
Zn3 Zn 0.1417 0.4220 0.7254
Ge1 Ge 0.2112 0.2551 0.9041
N1 N 0.0172 0.2297 0.8548
N2 N 0.1791 0.2382 0.2071
N3 N 0.2428 0.4861 0.0028
```

Top 10 peaks for 2θ from 10° to 90°, in order of falling intensity:
d [Å]	Position (°2θ)	Rel. int.
2.615	34.3	100.0
3.320	26.9	83.2
2.402	37.4	67.6
2.636	34.0	63.8
4.568	19.4	51.3
2.095	43.2	34.0
2.331	38.6	34.0
2.648	33.9	32.8
2.499	35.9	31.8
1.523	60.8	31.6

Entry 4:
Diffraction record for Zn4GeN4. The powder diffractogram is theoretical, not measured: it uses a DFT-relaxed cell (PBE, the Materials Project) and copper Kα.
Lines closer than 0.1° are merged.

Atomic structure:
```
data_Zn4GeN4
_cell_length_a 5.3007
_cell_length_b 11.0891
_cell_length_c 8.0463
_cell_angle_alpha 90.00
_cell_angle_beta 90.00
_cell_angle_gamma 90.00
_space_group_name_H-M_alt 'P n n a'
_space_group_IT_number 52
_space_group_name_Hall '-P 2a 2bc'
loop_
_atom_site_label
_atom_site_type_symbol
_atom_site_fract_x
_atom_site_fract_y
_atom_site_fract_z
Zn1 Zn 0.2124 0.1346 0.1269
Zn2 Zn 0.2426 0.7500 0.7500
Zn3 Zn 0.2500 0.0000 0.4465
Ge1 Ge 0.2500 0.0000 0.7942
N1 N 0.0176 0.5949 0.8319
N2 N 0.0804 0.1291 0.8962
```

Top 10 peaks for 2θ from 10° to 90°, in order of falling intensity:
d [Å]	Position (°2θ)	Rel. int.
2.350	38.3	100.0
2.421	37.1	91.4
2.393	37.6	89.8
2.650	33.8	75.9
3.359	26.5	64.0
1.387	67.5	34.6
2.607	34.4	34.2
1.859	49.0	33.0
1.628	56.5	29.2
1.483	62.7	28.3